For Li3Mn2O5, a structure optimized by DFT (PBE+U) gives the calculated X-ray diffraction stick pattern in this record (Cu Ka).
Neutral-atom scattering factors, no anomalous dispersion.

```
data_Li3Mn2O5
_chemical_formula_sum 'Li6 Mn4 O10'
_cell_length_a 5.2628
_cell_length_b 5.9523
_cell_length_c 6.5164
_cell_angle_alpha 104.38
_cell_angle_beta 95.48
_cell_angle_gamma 109.93
_space_group_name_H-M_alt 'P 1'
_space_group_IT_number 1
loop_
_space_group_symop_operation_xyz
'x,y,z'
loop_
_atom_site_label
_atom_site_type_symbol
_atom_site_fract_x
_atom_site_fract_y
_atom_site_fract_z
Li1 Li 0.0000 0.0000 0.0000
Li2 Li 0.0000 0.5000 0.0000
Li3 Li 0.2137 0.3955 0.4019
Li4 Li 0.3881 0.7949 0.8100
Li5 Li 0.6119 0.2051 0.1900
Li6 Li 0.7863 0.6045 0.5981
Mn1 Mn 0.1980 0.8945 0.3975
Mn2 Mn 0.4010 0.3002 0.8021
Mn3 Mn 0.5990 0.6998 0.1979
Mn4 Mn 0.8020 0.1055 0.6025
O1 O 0.1168 0.4190 0.7041
O2 O 0.1204 0.9604 0.6991
O3 O 0.3237 0.8382 0.1253
O4 O 0.3270 0.3596 0.0922
O5 O 0.4806 0.2425 0.5127
O6 O 0.5194 0.7575 0.4873
O7 O 0.6730 0.6404 0.9078
O8 O 0.6763 0.1618 0.8747
O9 O 0.8796 0.0396 0.3009
O10 O 0.8832 0.5810 0.2959
```

Most intense lines, 2θ from 10° to 90°, sorted by position:
2θ 18.29, intensity 83, hkl 1 0 0; 2θ 18.41, intensity 1000, hkl 0 1 -1; 2θ 34.35, intensity 152, hkl 2 -1 0; 2θ 36.25, intensity 118, hkl -1 1 2; 2θ 36.43, intensity 129, hkl 1 1 1; 2θ 41.35, intensity 352, hkl 2 -2 1; 2θ 44.19, intensity 293, hkl 1 0 -3; 2θ 44.51, intensity 287, hkl 1 2 0; 2θ 61.96, intensity 90, hkl -3 2 2; 2θ 62.16, intensity 85, hkl 3 0 1